Entry 1:
This entry pairs a crystal structure of TbGd2Mg3Ga3 with its simulated X-ray powder pattern. Radiation: Cu Ka. Structure: a cell relaxed with PBE.

Main lines, low angle first (10° ≤ 2θ ≤ 80°):
2θ/deg, d (Å), I (rel.)
19.9, 4.457, 25
24.3, 3.658, 22
28.2, 3.168, 33
31.6, 2.828, 75
34.7, 2.582, 100
37.6, 2.395, 24
40.5, 2.229, 24
42.8, 2.111, 22
56.3, 1.635, 28
67.9, 1.381, 23

Structure:
abc: 4.457 7.313 7.313
angles: 119.90 90.00 90.00
Positions (direct):
Tb (0.000, 0.000, 0.000)
Gd (0.000, 0.426, 0.852)
Gd (0.000, 0.852, 0.426)
Mg (0.500, 0.183, 0.426)
Mg (0.500, 0.426, 0.183)
Mg (0.500, 0.669, 0.669)
Ga (0.000, 0.425, 0.425)
Ga (0.500, 0.092, 0.760)
Ga (0.500, 0.760, 0.092)


Entry 2:
This entry pairs a crystal structure of LaNdAl2Pd4 with its simulated X-ray powder pattern. Radiation: Cu Ka. Structure: a cell relaxed with PBE.

Main lines, low angle first (10° ≤ 2θ ≤ 80°):
2θ/deg, d (Å), I (rel.)
23.2, 3.832, 40
36.6, 2.454, 100
40.8, 2.213, 59
47.4, 1.916, 6
56.0, 1.643, 29
63.0, 1.475, 8
64.3, 1.448, 5
71.5, 1.319, 27
73.0, 1.295, 13
74.2, 1.277, 10

Structure:
abc: 4.425 4.425 9.587
angles: 90.00 90.00 120.00
Positions (direct):
La (0.000, 0.000, 0.000)
Nd (0.333, 0.667, 0.500)
Al (0.667, 0.333, 0.255)
Al (0.667, 0.333, 0.745)
Pd (0.000, 0.000, 0.323)
Pd (0.000, 0.000, 0.677)
Pd (0.333, 0.667, 0.181)
Pd (0.333, 0.667, 0.819)


Entry 3:
This entry pairs a crystal structure of Pr4CuGe3 with its simulated X-ray powder pattern. Radiation: Cu Ka. Structure: a cell relaxed with PBE.

Main lines, low angle first (10° ≤ 2θ ≤ 80°):
2θ/deg, d (Å), I (rel.)
28.2, 3.169, 46
30.7, 2.912, 100
31.3, 2.858, 44
31.7, 2.822, 53
34.0, 2.638, 39
34.4, 2.610, 50
35.9, 2.504, 39
38.2, 2.353, 51
38.6, 2.333, 44
43.6, 2.074, 44

Structure:
abc: 6.058 4.148 8.179
angles: 90.00 91.10 90.00
Positions (direct):
Pr (0.000, 0.000, 0.000)
Pr (0.244, 0.500, 0.657)
Pr (0.501, 0.500, 0.153)
Pr (0.751, 0.000, 0.525)
Cu (0.736, 0.500, 0.804)
Ge (0.257, 0.000, 0.370)
Ge (0.498, 0.000, 0.870)
Ge (0.988, 0.500, 0.292)


Entry 4:
This entry pairs a crystal structure of TbScPBr2 with its simulated X-ray powder pattern. Radiation: Cu Ka. Structure: a cell relaxed with PBE.

Main lines, low angle first (10° ≤ 2θ ≤ 80°):
2θ/deg, d (Å), I (rel.)
17.1, 5.172, 19
26.4, 3.379, 28
27.8, 3.212, 10
31.6, 2.829, 100
37.3, 2.414, 20
44.1, 2.054, 28
46.5, 1.951, 29
51.8, 1.764, 9
57.4, 1.606, 18
76.9, 1.240, 15

Structure:
abc: 3.902 3.902 10.344
angles: 90.00 90.00 120.00
Positions (direct):
Tb (0.000, 0.000, 0.000)
Sc (0.333, 0.667, 0.715)
P (0.667, 0.333, 0.846)
Br (0.000, 0.000, 0.550)
Br (0.333, 0.667, 0.181)


Entry 5:
This entry pairs a crystal structure of CuCl2 with its simulated X-ray powder pattern. Radiation: Cu Ka. Structure: a cell relaxed with PBE.

Main lines, low angle first (10° ≤ 2θ ≤ 80°):
2θ/deg, d (Å), I (rel.)
25.7, 3.464, 86
29.8, 3.000, 26
33.4, 2.683, 63
36.7, 2.449, 30
42.6, 2.121, 64
50.4, 1.809, 100
52.9, 1.732, 15
57.5, 1.603, 21
70.2, 1.342, 32
78.0, 1.225, 12

Structure:
abc: 6.000 6.000 6.000
angles: 90.00 90.00 90.00
Positions (direct):
Cu (0.000, 0.000, 0.000)
Cu (0.000, 0.500, 0.500)
Cu (0.500, 0.000, 0.500)
Cu (0.500, 0.500, 0.000)
Cl (0.154, 0.654, 0.846)
Cl (0.154, 0.846, 0.346)
Cl (0.346, 0.154, 0.846)
Cl (0.346, 0.346, 0.346)
Cl (0.654, 0.654, 0.654)
Cl (0.654, 0.846, 0.154)
Cl (0.846, 0.154, 0.654)
Cl (0.846, 0.346, 0.154)


Entry 6:
This entry pairs a crystal structure of GdHoZr2Ge2 with its simulated X-ray powder pattern. Radiation: Cu Ka. Structure: a cell relaxed with PBE.

Main lines, low angle first (10° ≤ 2θ ≤ 80°):
2θ/deg, d (Å), I (rel.)
30.1, 2.967, 33
31.0, 2.885, 58
32.2, 2.780, 100
33.8, 2.648, 42
37.8, 2.377, 89
43.1, 2.098, 66
54.0, 1.697, 25
55.9, 1.645, 40
75.5, 1.259, 23
78.9, 1.213, 22

Structure:
abc: 4.197 4.197 7.945
angles: 90.00 90.00 90.00
Positions (direct):
Gd (0.000, 0.000, 0.000)
Ho (0.500, 0.500, 0.306)
Zr (0.000, 0.500, 0.650)
Zr (0.500, 0.000, 0.650)
Ge (0.000, 0.000, 0.388)
Ge (0.500, 0.500, 0.912)


Entry 7:
This entry pairs a crystal structure of DyEr2Cd4In2 with its simulated X-ray powder pattern. Radiation: Cu Ka. Structure: a cell relaxed with PBE.

Main lines, low angle first (10° ≤ 2θ ≤ 80°):
2θ/deg, d (Å), I (rel.)
30.9, 2.895, 72
33.9, 2.642, 100
36.8, 2.442, 27
36.9, 2.436, 13
39.2, 2.298, 31
41.9, 2.156, 16
42.0, 2.151, 16
54.9, 1.673, 25
66.2, 1.411, 18
67.7, 1.384, 13

Structure:
abc: 4.597 7.461 7.461
angles: 120.18 90.00 90.00
Positions (direct):
Dy (0.000, 0.000, 0.000)
Er (0.000, 0.144, 0.572)
Er (0.000, 0.572, 0.144)
Cd (0.000, 0.570, 0.570)
Cd (0.500, 0.328, 0.328)
Cd (0.500, 0.572, 0.814)
Cd (0.500, 0.814, 0.572)
In (0.500, 0.239, 0.905)
In (0.500, 0.905, 0.239)


Entry 8:
This entry pairs a crystal structure of Au4ICl3 with its simulated X-ray powder pattern. Radiation: Cu Ka. Structure: a cell relaxed with PBE.

Main lines, low angle first (10° ≤ 2θ ≤ 80°):
2θ/deg, d (Å), I (rel.)
14.6, 6.075, 100
25.0, 3.562, 13
29.4, 3.038, 16
29.6, 3.018, 56
29.7, 3.007, 45
36.4, 2.466, 59
43.8, 2.067, 44
47.5, 1.915, 28
51.3, 1.781, 31
61.1, 1.516, 13

Structure:
abc: 4.397 4.397 12.150
angles: 90.00 90.00 90.22
Positions (direct):
Au (0.243, 0.243, 0.490)
Au (0.250, 0.750, 0.000)
Au (0.750, 0.250, 0.000)
Au (0.757, 0.757, 0.490)
I (0.500, 0.500, 0.660)
Cl (0.000, 0.000, 0.338)
Cl (0.000, 0.000, 0.855)
Cl (0.500, 0.500, 0.144)


Entry 9:
This entry pairs a crystal structure of CoBi10Se10 with its simulated X-ray powder pattern. Radiation: Cu Ka. Structure: a cell relaxed with PBE.

Main lines, low angle first (10° ≤ 2θ ≤ 80°):
2θ/deg, d (Å), I (rel.)
24.6, 3.625, 35
25.8, 3.451, 51
26.6, 3.352, 93
29.2, 3.058, 100
32.1, 2.791, 65
33.4, 2.686, 74
35.1, 2.555, 33
37.9, 2.372, 38
40.9, 2.206, 37
41.8, 2.162, 38

Structure:
abc: 11.275 12.712 8.825
angles: 90.00 90.00 90.00
Positions (direct):
Co (0.000, 0.000, 0.000)
Co (0.500, 0.500, 0.000)
Bi (0.000, 0.500, 0.241)
Bi (0.000, 0.500, 0.759)
Bi (0.132, 0.081, 0.213)
Bi (0.132, 0.081, 0.787)
Bi (0.132, 0.833, 0.000)
Bi (0.249, 0.829, 0.500)
Bi (0.251, 0.329, 0.500)
Bi (0.368, 0.333, 0.000)
Bi (0.368, 0.581, 0.213)
Bi (0.368, 0.581, 0.787)
Bi (0.500, 0.000, 0.241)
Bi (0.500, 0.000, 0.759)
Bi (0.632, 0.419, 0.213)
Bi (0.632, 0.419, 0.787)
Bi (0.632, 0.667, 0.000)
Bi (0.749, 0.671, 0.500)
Bi (0.751, 0.171, 0.500)
Bi (0.868, 0.167, 0.000)
Bi (0.868, 0.919, 0.213)
Bi (0.868, 0.919, 0.787)
Se (0.003, 0.852, 0.500)
Se (0.147, 0.588, 0.000)
Se (0.158, 0.312, 0.193)
Se (0.158, 0.312, 0.807)
Se (0.171, 0.540, 0.500)
Se (0.329, 0.040, 0.500)
Se (0.342, 0.812, 0.193)
Se (0.342, 0.812, 0.807)
Se (0.353, 0.088, 0.000)
Se (0.497, 0.352, 0.500)
Se (0.503, 0.648, 0.500)
Se (0.647, 0.912, 0.000)
Se (0.658, 0.188, 0.193)
Se (0.658, 0.188, 0.807)
Se (0.671, 0.960, 0.500)
Se (0.829, 0.460, 0.500)
Se (0.842, 0.688, 0.193)
Se (0.842, 0.688, 0.807)
Se (0.853, 0.412, 0.000)
Se (0.997, 0.148, 0.500)


Entry 10:
This entry pairs a crystal structure of Li4In2GaPd with its simulated X-ray powder pattern. Radiation: Cu Ka. Structure: a cell relaxed with PBE.

Main lines, low angle first (10° ≤ 2θ ≤ 80°):
2θ/deg, d (Å), I (rel.)
23.9, 3.720, 100
39.4, 2.289, 64
39.9, 2.258, 31
46.1, 1.969, 17
47.1, 1.930, 32
57.8, 1.596, 10
62.6, 1.484, 13
71.0, 1.328, 11
72.1, 1.309, 20
77.6, 1.230, 7

Structure:
abc: 4.515 4.515 6.566
angles: 90.00 90.00 90.00
Positions (direct):
Li (0.000, 0.000, 0.000)
Li (0.000, 0.500, 0.744)
Li (0.500, 0.000, 0.256)
Li (0.500, 0.500, 0.500)
In (0.000, 0.500, 0.258)
In (0.500, 0.000, 0.742)
Ga (0.500, 0.500, 0.000)
Pd (0.000, 0.000, 0.500)


Entry 11:
This entry pairs a crystal structure of KDy2 with its simulated X-ray powder pattern. Radiation: Cu Ka. Structure: a cell relaxed with PBE.

Main lines, low angle first (10° ≤ 2θ ≤ 80°):
2θ/deg, d (Å), I (rel.)
15.4, 5.754, 75
29.7, 3.005, 100
31.1, 2.877, 85
36.1, 2.491, 33
39.4, 2.286, 23
47.4, 1.918, 36
51.9, 1.762, 38
54.5, 1.684, 18
61.7, 1.502, 36
72.9, 1.297, 22

Structure:
abc: 7.047 7.047 7.047
angles: 60.00 60.00 60.00
Positions (direct):
K (0.125, 0.125, 0.125)
K (0.875, 0.875, 0.875)
Dy (0.000, 0.500, 0.500)
Dy (0.500, 0.000, 0.500)
Dy (0.500, 0.500, 0.000)
Dy (0.500, 0.500, 0.500)